1.
# Sc5Bi2
Computed powder diffractogram, Cu Kα, 1.54184 Å. Input: DFT lattice parameters and positions (GGA-PBE).
Intensities are scaled so that the largest is 100.

Atomic structure:
```
data_Sc5Bi2
_symmetry_space_group_name_H-M 'C m c m'
_symmetry_Int_Tables_number 63
_symmetry_space_group_name_Hall '-C 2c 2'
_cell_length_a 4.3392
_cell_length_b 37.0982
_cell_length_c 4.3197
_cell_angle_alpha 90.00
_cell_angle_beta 90.00
_cell_angle_gamma 90.00
loop_
_atom_site_label
_atom_site_type_symbol
_atom_site_fract_x
_atom_site_fract_y
_atom_site_fract_z
_atom_site_occupancy
Sc1 Sc 0.0000 0.0333 0.2500 1
Sc2 Sc 0.0000 0.1077 0.7500 1
Sc3 Sc 0.0000 0.2501 0.2500 1
Sc4 Sc 0.0000 0.3227 0.7500 1
Sc5 Sc 0.0000 0.4668 0.2500 1
Bi1 Bi 0.0000 0.1887 0.7500 1
Bi2 Bi 0.0000 0.4047 0.7500 1
```

Main lines, most intense first (2θ from 10° to 90°):
(hkl)	Position (°2θ)	I (rel.)
1 9 1	36.6	100
1 1 1	29.3	64
1 5 0	23.8	55
0 4 1	22.7	48
1 5 2	48.6	26
2 0 0	41.6	26

2.
# Pa2MnCoN5
Computed powder diffractogram, Cu Kα, 1.54184 Å. Input: DFT lattice parameters and positions (GGA-PBE).
Intensities are scaled so that the largest is 100.

Atomic structure:
```
data_Pa2MnCoN5
_symmetry_space_group_name_H-M 'C m c 21'
_symmetry_Int_Tables_number 36
_cell_length_a 3.3541
_cell_length_b 13.3609
_cell_length_c 8.8207
_cell_angle_alpha 90.00
_cell_angle_beta 90.00
_cell_angle_gamma 90.00
loop_
_symmetry_equiv_pos_as_xyz
'x,y,z'
'-x,-y,z+1/2'
'-x,y,z'
'x,-y,z+1/2'
'x+1/2,y+1/2,z'
'-x+1/2,-y+1/2,z+1/2'
'-x+1/2,y+1/2,z'
'x+1/2,-y+1/2,z+1/2'
loop_
_atom_site_label
_atom_site_type_symbol
_atom_site_fract_x
_atom_site_fract_y
_atom_site_fract_z
_atom_site_occupancy
Pa1 Pa 0.0000 0.1169 0.0000 1
Pa2 Pa 0.0000 0.1295 0.3972 1
Mn1 Mn 0.0000 0.2114 0.7023 1
Co1 Co 0.0000 0.4199 0.1806 1
N1 N 0.0000 0.0294 0.7433 1
N2 N 0.0000 0.2979 0.0669 1
N3 N 0.0000 0.3069 0.3426 1
N4 N 0.0000 0.3520 0.7027 1
N5 N 0.0000 0.4894 0.9871 1
```

Main lines, most intense first (2θ from 10° to 90°):
(hkl)	Position (°2θ)	I (rel.)
0 2 3	33.3	100
0 4 0	26.7	87
1 1 2	34.3	83
0 4 2	33.7	65
1 1 3	41.4	64
1 1 0	27.4	63

3.
# AcHf2In
Computed powder diffractogram, Cu Kα, 1.54184 Å. Input: DFT lattice parameters and positions (GGA-PBE).
Intensities are scaled so that the largest is 100.

Atomic structure:
```
data_AcHf2In
_symmetry_space_group_name_H-M 'R -3 m'
_symmetry_Int_Tables_number 166
_symmetry_space_group_name_Hall '-R 3 2"'
_cell_length_a 3.2745
_cell_length_b 3.2745
_cell_length_c 34.5459
_cell_angle_alpha 90.00
_cell_angle_beta 90.00
_cell_angle_gamma 120.00
loop_
_atom_site_label
_atom_site_type_symbol
_atom_site_fract_x
_atom_site_fract_y
_atom_site_fract_z
_atom_site_occupancy
Ac1 Ac 0.0000 0.0000 0.0000 1
Hf1 Hf 0.0000 0.0000 0.0938 1
In1 In 0.0000 0.0000 0.5000 1
```

Main lines, most intense first (2θ from 10° to 90°):
(hkl)	Position (°2θ)	I (rel.)
0 1 2	32.0	100
1 0 10	41.2	99
1 0 1	31.7	72
0 0 12	31.1	55
1 1 0	56.2	44
0 1 11	43.0	41

4.
# BaTaBS6
Computed powder diffractogram, Cu Kα, 1.54184 Å. Input: DFT lattice parameters and positions (GGA-PBE).
Intensities are scaled so that the largest is 100.

Atomic structure:
```
data_BaTaBS6
_symmetry_space_group_name_H-M 'P 1'
_symmetry_Int_Tables_number 1
_cell_length_a 5.3967
_cell_length_b 6.2160
_cell_length_c 7.1417
_cell_angle_alpha 71.42
_cell_angle_beta 76.82
_cell_angle_gamma 79.59
loop_
_symmetry_equiv_pos_as_xyz
'x,y,z'
loop_
_atom_site_label
_atom_site_type_symbol
_atom_site_fract_x
_atom_site_fract_y
_atom_site_fract_z
_atom_site_occupancy
Ba1 Ba 0.0000 0.0000 0.0000 1
Ta1 Ta 0.4417 0.3108 0.4030 1
B1 B 0.5538 0.7776 0.5476 1
S1 S 0.1116 0.4491 0.6297 1
S2 S 0.2283 0.4680 0.1261 1
S3 S 0.4273 0.9500 0.3223 1
S4 S 0.6043 0.9635 0.6821 1
S5 S 0.6203 0.4693 0.6278 1
S6 S 0.7668 0.4648 0.1354 1
```

Main lines, most intense first (2θ from 10° to 90°):
(hkl)	Position (°2θ)	I (rel.)
1 0 -1	23.5	100
1 0 1	19.6	79
1 1 1	20.9	63
0 1 1	17.0	61
0 1 0	15.1	54
0 1 -1	23.0	50

5.
# BeSn3Ir
Computed powder diffractogram, Cu Kα, 1.54184 Å. Input: DFT lattice parameters and positions (GGA-PBE).
Intensities are scaled so that the largest is 100.

Atomic structure:
```
data_BeSn3Ir
_symmetry_space_group_name_H-M 'P m -3 m'
_symmetry_Int_Tables_number 221
_symmetry_space_group_name_Hall '-P 4 2 3'
_cell_length_a 5.1431
_cell_length_b 5.1431
_cell_length_c 5.1431
_cell_angle_alpha 90.00
_cell_angle_beta 90.00
_cell_angle_gamma 90.00
loop_
_atom_site_label
_atom_site_type_symbol
_atom_site_fract_x
_atom_site_fract_y
_atom_site_fract_z
_atom_site_occupancy
Be1 Be 0.0000 0.0000 0.0000 1
Sn1 Sn 0.0000 0.5000 0.5000 1
Ir1 Ir 0.5000 0.5000 0.5000 1
```

Main lines, most intense first (2θ from 10° to 90°):
(hkl)	Position (°2θ)	I (rel.)
1 0 0	17.2	100
2 0 0	34.9	61
2 1 0	39.2	53
2 2 0	50.2	45
3 0 0	53.4	27
4 2 0	84.2	22

6.
# Ho3TmPb2C
Computed powder diffractogram, Cu Kα, 1.54184 Å. Input: DFT lattice parameters and positions (GGA-PBE).
Intensities are scaled so that the largest is 100.

Atomic structure:
```
data_Ho3TmPb2C
_symmetry_space_group_name_H-M 'I m m m'
_symmetry_Int_Tables_number 71
_symmetry_space_group_name_Hall '-I 2 2'
_cell_length_a 4.7647
_cell_length_b 4.7994
_cell_length_c 16.0146
_cell_angle_alpha 90.00
_cell_angle_beta 90.00
_cell_angle_gamma 90.00
loop_
_atom_site_label
_atom_site_type_symbol
_atom_site_fract_x
_atom_site_fract_y
_atom_site_fract_z
_atom_site_occupancy
Ho1 Ho 0.0000 0.0000 0.0000 1
Ho2 Ho 0.0000 0.5000 0.1567 1
Tm1 Tm 0.0000 0.0000 0.5000 1
Pb1 Pb 0.0000 0.5000 0.3577 1
C1 C 0.0000 0.5000 0.0000 1
```

Main lines, most intense first (2θ from 10° to 90°):
(hkl)	Position (°2θ)	I (rel.)
1 1 4	34.7	100
1 1 2	28.7	56
0 0 6	33.6	28
0 2 0	37.5	28
2 0 0	37.8	27
1 1 0	26.4	21

7.
# NaIn7Hg3
Computed powder diffractogram, Cu Kα, 1.54184 Å. Input: DFT lattice parameters and positions (GGA-PBE).
Intensities are scaled so that the largest is 100.

Atomic structure:
```
data_NaIn7Hg3
_symmetry_space_group_name_H-M 'P 3 m 1'
_symmetry_Int_Tables_number 156
_cell_length_a 6.8160
_cell_length_b 6.8160
_cell_length_c 7.4436
_cell_angle_alpha 90.00
_cell_angle_beta 90.00
_cell_angle_gamma 120.00
loop_
_symmetry_equiv_pos_as_xyz
'x,y,z'
'-y,x-y,z'
'-x+y,-x,z'
'-y,-x,z'
'-x+y,y,z'
'x,x-y,z'
loop_
_atom_site_label
_atom_site_type_symbol
_atom_site_fract_x
_atom_site_fract_y
_atom_site_fract_z
_atom_site_occupancy
Na1 Na 0.0000 0.0000 0.0000 1
In1 In 0.0179 0.5089 0.9799 1
In2 In 0.1750 0.3500 0.3532 1
In3 In 0.6667 0.3333 0.3104 1
Hg1 Hg 0.3366 0.1683 0.6669 1
```

Main lines, most intense first (2θ from 10° to 90°):
(hkl)	Position (°2θ)	I (rel.)
0 2 1	32.6	100
2 0 2	38.9	63
0 0 3	36.2	23
2 2 0	53.8	23
2 2 3	66.6	22
1 0 1	19.2	20

8.
# In2GeRuAu
Computed powder diffractogram, Cu Kα, 1.54184 Å. Input: DFT lattice parameters and positions (GGA-PBE).
Intensities are scaled so that the largest is 100.

Atomic structure:
```
data_In2GeRuAu
_symmetry_space_group_name_H-M 'P 4/m m m'
_symmetry_Int_Tables_number 123
_symmetry_space_group_name_Hall '-P 4 2'
_cell_length_a 5.1300
_cell_length_b 5.1300
_cell_length_c 5.1579
_cell_angle_alpha 90.00
_cell_angle_beta 90.00
_cell_angle_gamma 90.00
loop_
_atom_site_label
_atom_site_type_symbol
_atom_site_fract_x
_atom_site_fract_y
_atom_site_fract_z
_atom_site_occupancy
In1 In 0.0000 0.5000 0.0000 1
Ge1 Ge 0.0000 0.0000 0.5000 1
Ru1 Ru 0.5000 0.5000 0.5000 1
Au1 Au 0.5000 0.5000 0.0000 1
```

Main lines, most intense first (2θ from 10° to 90°):
(hkl)	Position (°2θ)	I (rel.)
0 0 1	17.2	100
2 0 0	35.0	81
2 0 2	50.2	58
1 0 1	24.5	41
0 0 2	34.8	41
2 0 1	39.2	37

9.
# Zr2TiH6
Computed powder diffractogram, Cu Kα, 1.54184 Å. Input: DFT lattice parameters and positions (GGA-PBE).
Intensities are scaled so that the largest is 100.

Atomic structure:
```
data_Zr2TiH6
_symmetry_space_group_name_H-M 'C 1 2/m 1'
_symmetry_Int_Tables_number 12
_cell_length_a 9.9358
_cell_length_b 4.8134
_cell_length_c 3.2781
_cell_angle_alpha 90.00
_cell_angle_beta 102.75
_cell_angle_gamma 90.00
loop_
_symmetry_equiv_pos_as_xyz
'x,y,z'
'-x,-y,-z'
'-x,y,-z'
'x,-y,z'
'x+1/2,y+1/2,z'
'-x+1/2,-y+1/2,-z'
'-x+1/2,y+1/2,-z'
'x+1/2,-y+1/2,z'
loop_
_atom_site_label
_atom_site_type_symbol
_atom_site_fract_x
_atom_site_fract_y
_atom_site_fract_z
_atom_site_occupancy
Zr1 Zr 0.1628 0.0000 0.1716 1
Ti1 Ti 0.0000 0.5000 0.5000 1
H1 H 0.0000 0.2741 0.0000 1
H2 H 0.1614 0.2611 0.6650 1
```

Main lines, most intense first (2θ from 10° to 90°):
(hkl)	Position (°2θ)	I (rel.)
1 1 -1	33.2	100
3 1 0	33.4	98
2 0 1	36.9	35
0 2 0	37.4	34
4 2 -1	57.0	31
2 2 1	53.6	25

10.
# LiTcPt2
Computed powder diffractogram, Cu Kα, 1.54184 Å. Input: DFT lattice parameters and positions (GGA-PBE).
Intensities are scaled so that the largest is 100.

Atomic structure:
```
data_LiTcPt2
_symmetry_space_group_name_H-M 'C 1 m 1'
_symmetry_Int_Tables_number 8
_cell_length_a 9.1750
_cell_length_b 2.7093
_cell_length_c 4.7619
_cell_angle_alpha 90.00
_cell_angle_beta 97.86
_cell_angle_gamma 90.00
loop_
_symmetry_equiv_pos_as_xyz
'x,y,z'
'x,-y,z'
'x+1/2,y+1/2,z'
'x+1/2,-y+1/2,z'
loop_
_atom_site_label
_atom_site_type_symbol
_atom_site_fract_x
_atom_site_fract_y
_atom_site_fract_z
_atom_site_occupancy
Li1 Li 0.0000 0.0000 0.0000 1
Tc1 Tc 0.2278 0.0000 0.6683 1
Pt1 Pt 0.2497 0.5000 0.1581 1
Pt2 Pt 0.4870 0.0000 0.5008 1
```

Main lines, most intense first (2θ from 10° to 90°):
(hkl)	Position (°2θ)	I (rel.)
1 1 1	40.3	100
3 1 -1	47.3	59
2 0 -1	25.3	59
4 0 0	39.7	53
2 0 -2	40.6	36
0 0 1	18.8	34

11.
# Pm2ErAu3
Computed powder diffractogram, Cu Kα, 1.54184 Å. Input: DFT lattice parameters and positions (GGA-PBE).
Intensities are scaled so that the largest is 100.

Atomic structure:
```
data_Pm2ErAu3
_symmetry_space_group_name_H-M 'P m m n'
_symmetry_Int_Tables_number 59
_cell_length_a 5.1534
_cell_length_b 15.6248
_cell_length_c 3.6304
_cell_angle_alpha 90.00
_cell_angle_beta 90.00
_cell_angle_gamma 90.00
loop_
_symmetry_equiv_pos_as_xyz
'x,y,z'
'-x,-y,-z'
'-x+1/2,-y+1/2,z'
'x+1/2,y+1/2,-z'
'x+1/2,-y,-z'
'-x+1/2,y,z'
'-x,y+1/2,-z'
'x,-y+1/2,z'
loop_
_atom_site_label
_atom_site_type_symbol
_atom_site_fract_x
_atom_site_fract_y
_atom_site_fract_z
_atom_site_occupancy
Pm1 Pm 0.2500 0.0824 0.0016 1
Er1 Er 0.2500 0.7500 0.9983 1
Au1 Au 0.2500 0.2500 0.4999 1
Au2 Au 0.2500 0.5936 0.4974 1
```

Main lines, most intense first (2θ from 10° to 90°):
(hkl)	Position (°2θ)	I (rel.)
2 0 0	34.8	100
3 3 1	62.4	22
0 6 0	34.4	20
2 6 0	49.8	14
1 9 1	61.9	14
4 0 0	73.5	11

12.
# KTiPS2
Computed powder diffractogram, Cu Kα, 1.54184 Å. Input: DFT lattice parameters and positions (GGA-PBE).
Intensities are scaled so that the largest is 100.

Atomic structure:
```
data_KTiPS2
_symmetry_space_group_name_H-M 'P 4/m m m'
_symmetry_Int_Tables_number 123
_symmetry_space_group_name_Hall '-P 4 2'
_cell_length_a 4.8326
_cell_length_b 4.8326
_cell_length_c 4.7997
_cell_angle_alpha 90.00
_cell_angle_beta 90.00
_cell_angle_gamma 90.00
loop_
_atom_site_label
_atom_site_type_symbol
_atom_site_fract_x
_atom_site_fract_y
_atom_site_fract_z
_atom_site_occupancy
K1 K 0.0000 0.0000 0.0000 1
Ti1 Ti 0.5000 0.5000 0.5000 1
P1 P 0.5000 0.5000 0.0000 1
S1 S 0.0000 0.5000 0.5000 1
```

Main lines, most intense first (2θ from 10° to 90°):
(hkl)	Position (°2θ)	I (rel.)
2 0 0	37.2	100
1 1 1	32.2	74
1 0 1	26.1	74
2 0 2	53.8	61
0 0 2	37.5	49
2 2 0	53.6	31

13.
# Ti4PdS8
Computed powder diffractogram, Cu Kα, 1.54184 Å. Input: DFT lattice parameters and positions (GGA-PBE).
Intensities are scaled so that the largest is 100.

Atomic structure:
```
data_Ti4PdS8
_symmetry_space_group_name_H-M 'R -3 m'
_symmetry_Int_Tables_number 166
_symmetry_space_group_name_Hall '-R 3 2"'
_cell_length_a 6.8410
_cell_length_b 6.8410
_cell_length_c 18.7620
_cell_angle_alpha 90.00
_cell_angle_beta 90.00
_cell_angle_gamma 120.00
loop_
_atom_site_label
_atom_site_type_symbol
_atom_site_fract_x
_atom_site_fract_y
_atom_site_fract_z
_atom_site_occupancy
Ti1 Ti 0.0000 0.0000 0.0000 1
Ti2 Ti 0.0000 0.5000 0.0000 1
Pd1 Pd 0.0000 0.0000 0.5000 1
S1 S 0.0000 0.0000 0.2574 1
S2 S 0.0026 0.5013 0.2567 1
```

Main lines, most intense first (2θ from 10° to 90°):
(hkl)	Position (°2θ)	I (rel.)
0 2 4	35.9	100
2 0 8	49.6	35
1 0 1	15.7	31
2 2 0	53.6	29
0 1 2	17.7	23
0 0 3	14.2	18

14.
# Th2Al2GaRu5
Computed powder diffractogram, Cu Kα, 1.54184 Å. Input: DFT lattice parameters and positions (GGA-PBE).
Intensities are scaled so that the largest is 100.

Atomic structure:
```
data_Th2Al2GaRu5
_symmetry_space_group_name_H-M 'P 4/m b m'
_symmetry_Int_Tables_number 127
_symmetry_space_group_name_Hall '-P 4 2ab'
_cell_length_a 10.1160
_cell_length_b 10.1160
_cell_length_c 3.4091
_cell_angle_alpha 90.00
_cell_angle_beta 90.00
_cell_angle_gamma 90.00
loop_
_atom_site_label
_atom_site_type_symbol
_atom_site_fract_x
_atom_site_fract_y
_atom_site_fract_z
_atom_site_occupancy
Th1 Th 0.1754 0.3246 0.0000 1
Al1 Al 0.1240 0.6240 0.0000 1
Ga1 Ga 0.0000 0.0000 0.0000 1
Ru1 Ru 0.0000 0.5000 0.5000 1
Ru2 Ru 0.0712 0.7973 0.5000 1
```

Main lines, most intense first (2θ from 10° to 90°):
(hkl)	Position (°2θ)	I (rel.)
3 1 1	38.6	100
4 1 0	36.6	88
2 1 1	32.9	81
4 1 2	66.8	30
3 3 0	37.7	30
2 1 0	19.6	28